(1)
# Ba2ThS4
Calculated X-ray powder pattern, λ = 1.5418 Å (Cu Kα). Input: a DFT-relaxed cell (GGA-PBE, Alexandria).
Lines closer than 0.1° are merged.

Largest 6 diffraction maxima, by intensity, 10° ≤ 2θ ≤ 90°:
2theta  d [Å]  I (rel.)
24.24  3.672  100
23.87  3.728  97
33.79  2.653  58
42.60  2.122  57
13.32  6.645  44
40.96  2.203  38

Structure:
```
Ba2ThS4
1.0
7.789 0.000 0.000
0.000 12.738 0.000
0.000 0.000 4.406
Ba Th S
4 2 8
Cartesian
0.613 2.312 0.000
3.281 8.681 0.000
4.508 4.057 0.000
7.175 10.426 0.000
0.000 6.369 2.203
3.894 0.000 2.203
1.051 8.903 2.203
1.716 5.759 0.000
2.178 12.128 0.000
2.843 2.534 2.203
4.945 10.204 2.203
5.610 0.610 0.000
6.073 6.979 0.000
6.738 3.835 2.203
```

(2)
# ErTh8
Calculated X-ray powder pattern, λ = 1.5418 Å (Cu Kα). Input: a DFT-relaxed cell (GGA-PBE, Alexandria).
Lines closer than 0.1° are merged.

Largest 6 diffraction maxima, by intensity, 10° ≤ 2θ ≤ 90°:
2theta  d [Å]  I (rel.)
30.74  2.908  100
35.65  2.519  51
51.30  1.781  37
60.97  1.520  30
83.69  1.156  19
61.08  1.517  15

Structure:
```
ErTh8
1.0
-5.347 5.347 2.515
5.347 -5.347 2.515
5.347 5.347 -2.515
Er Th
1 8
Cartesian
0.000 0.000 0.000
3.554 0.000 0.000
7.140 0.000 0.000
0.000 3.554 0.000
3.564 3.564 0.000
1.783 -1.783 2.515
-1.783 1.783 2.515
1.783 1.783 2.515
0.000 7.140 0.000
```

(3)
# K4Rb5Hg2
Calculated X-ray powder pattern, λ = 1.5418 Å (Cu Kα). Input: a DFT-relaxed cell (GGA-PBE, Alexandria).
Lines closer than 0.1° are merged.

Largest 6 diffraction maxima, by intensity, 10° ≤ 2θ ≤ 90°:
2theta  d [Å]  I (rel.)
18.38  4.827  100
24.40  3.648  64
32.39  2.764  61
23.37  3.807  60
26.63  3.347  58
24.68  3.607  51

Structure:
```
K4Rb5Hg2
1.0
11.263 0.000 0.000
0.000 4.827 0.000
-2.015 0.000 13.492
K Rb Hg
4 5 2
Cartesian
1.077 0.000 5.932
0.356 0.000 10.856
8.892 0.000 2.635
8.171 0.000 7.559
1.426 2.414 1.920
3.770 2.414 8.855
5.631 2.414 0.000
5.478 2.414 4.637
7.822 2.414 11.572
-0.433 2.414 8.223
9.681 2.414 5.269
```

(4)
# BaUCuSe4
Calculated X-ray powder pattern, λ = 1.5418 Å (Cu Kα). Input: a DFT-relaxed cell (GGA-PBE, Alexandria).
Lines closer than 0.1° are merged.

Largest 6 diffraction maxima, by intensity, 10° ≤ 2θ ≤ 90°:
2theta  d [Å]  I (rel.)
10.26  8.618  100
31.55  2.836  90
28.26  3.158  80
19.85  4.474  79
32.06  2.791  70
27.68  3.223  67

Structure:
```
BaUCuSe4
1.0
7.087 0.000 0.000
0.000 5.967 0.000
-2.704 0.000 8.618
Ba U Cu Se
2 2 2 8
Cartesian
0.556 1.492 3.779
3.826 4.475 4.839
-0.894 1.492 8.121
5.277 4.475 0.497
1.277 4.475 1.536
3.106 1.492 7.082
-0.558 4.475 3.062
-1.946 4.475 7.830
1.287 3.049 6.764
1.287 5.901 6.764
3.095 0.065 1.855
3.095 2.918 1.855
6.329 1.492 0.788
4.941 1.492 5.556
```

(5)
# Dy3CdPd3
Calculated X-ray powder pattern, λ = 1.5418 Å (Cu Kα). Input: a DFT-relaxed cell (GGA-PBE, Alexandria).
Lines closer than 0.1° are merged.

Largest 6 diffraction maxima, by intensity, 10° ≤ 2θ ≤ 90°:
2theta  d [Å]  I (rel.)
37.20  2.417  100
35.17  2.552  36
32.63  2.744  32
48.73  1.869  21
58.24  1.584  21
27.54  3.239  19

Structure:
```
Dy3CdPd3
1.0
8.384 0.000 0.000
-4.192 7.261 0.000
0.000 0.000 5.103
Dy Cd Pd
6 2 6
Cartesian
-2.110 4.872 1.276
1.028 2.998 1.276
3.110 0.609 3.827
1.082 6.652 1.276
3.164 4.263 3.827
6.302 2.389 3.827
0.000 4.841 3.827
4.192 2.420 1.276
-3.089 5.973 3.827
0.564 1.599 3.827
1.667 0.311 1.276
2.525 6.950 3.827
3.628 5.662 1.276
7.282 1.288 1.276
```

(6)
# TlCd2In2Hg
Calculated X-ray powder pattern, λ = 1.5418 Å (Cu Kα). Input: a DFT-relaxed cell (GGA-PBE, Alexandria).
Lines closer than 0.1° are merged.

Largest 6 diffraction maxima, by intensity, 10° ≤ 2θ ≤ 90°:
2theta  d [Å]  I (rel.)
29.82  2.996  100
39.84  2.263  82
40.52  2.226  48
18.17  4.883  44
55.90  1.645  30
73.25  1.292  27

Structure:
```
TlCd2In2Hg
1.0
-2.226 2.226 9.765
2.226 -2.226 9.765
2.226 2.226 -9.765
Tl Cd In Hg
1 2 2 1
Cartesian
0.000 0.000 0.000
0.000 0.000 6.974
0.000 0.000 12.556
2.226 0.000 4.883
0.000 2.226 4.883
0.000 0.000 9.765
```

(7)
# DyTm3Pb5
Calculated X-ray powder pattern, λ = 1.5418 Å (Cu Kα). Input: a DFT-relaxed cell (GGA-PBE, Alexandria).
Lines closer than 0.1° are merged.

Largest 6 diffraction maxima, by intensity, 10° ≤ 2θ ≤ 90°:
2theta  d [Å]  I (rel.)
33.38  2.685  100
32.72  2.737  93
31.94  2.802  35
58.81  1.570  31
47.44  1.917  30
66.84  1.400  26

Structure:
```
DyTm3Pb5
1.0
9.481 0.000 0.000
-4.740 8.211 0.000
0.000 0.000 6.515
Dy Tm Pb
2 6 10
Cartesian
0.000 0.000 0.000
0.000 0.000 3.257
-1.802 3.121 1.629
-2.939 5.090 4.886
3.603 0.000 1.629
1.802 3.121 4.886
5.878 0.000 4.886
2.939 5.090 1.629
-1.379 2.388 4.886
-3.362 5.823 1.629
2.758 0.000 4.886
1.379 2.388 1.629
0.000 5.474 0.000
0.000 5.474 3.257
4.740 2.737 0.000
4.740 2.737 3.257
6.723 0.000 1.629
3.362 5.823 4.886
```

(8)
# Li6SmIn6
Calculated X-ray powder pattern, λ = 1.5418 Å (Cu Kα). Input: a DFT-relaxed cell (GGA-PBE, Alexandria).
Lines closer than 0.1° are merged.

Largest 6 diffraction maxima, by intensity, 10° ≤ 2θ ≤ 90°:
2theta  d [Å]  I (rel.)
32.05  2.792  100
18.28  4.852  75
37.02  2.429  63
31.20  2.866  60
37.15  2.420  50
36.40  2.468  32

Structure:
```
Li6SmIn6
1.0
-2.866 4.796 4.852
2.866 -4.796 4.852
2.866 4.796 -4.852
Li Sm In
6 1 6
Cartesian
1.433 2.398 -2.426
1.433 -2.398 2.426
0.000 0.000 2.225
-1.433 2.398 2.426
1.433 2.398 2.426
0.000 0.000 7.479
2.866 0.000 0.000
0.000 1.903 0.000
2.866 0.000 3.308
2.866 3.309 0.000
0.000 1.487 4.852
0.000 4.796 1.544
0.000 7.689 0.000
```

Number 8 is which compound? Li6SmIn6